No. 1
# MnPtF6
Simulated powder X-ray diffraction pattern, a wavelength of 1.5418 Å. Input: the PBE+U geometry in Alexandria.

Atomic structure:
```
MnPtF6
1.0
2.6324 1.5198 4.7441
-2.6324 1.5198 4.7441
0.0000 -3.0397 4.7441
Mn Pt F
1 1 6
Direct
0.0000 0.0000 0.0000
0.5000 0.5000 0.5000
0.1281 0.3919 0.7374
0.2626 0.8719 0.6081
0.3919 0.7374 0.1281
0.6081 0.2626 0.8719
0.7374 0.1281 0.3919
0.8719 0.6081 0.2626
```

Top 6 peaks for 10 to 90 degrees two-theta, in order of falling intensity:
| 2θ (°) | intensity |
| --- | --- |
| 23.17 | 100 |
| 20.45 | 38 |
| 31.90 | 35 |
| 51.89 | 29 |
| 39.14 | 20 |
| 34.06 | 20 |

No. 2
# RbMoF3
Simulated powder X-ray diffraction pattern, a wavelength of 1.5418 Å. Input: the PBE+U geometry in Alexandria.

Atomic structure:
```
RbMoF3
1.0
-3.1986 3.1986 4.7897
3.1986 -3.1986 4.7897
3.1986 3.1986 -4.7897
Rb Mo F
2 2 6
Direct
0.2500 0.7500 0.5000
0.7500 0.2500 0.5000
0.0000 0.0000 0.0000
0.5000 0.5000 0.0000
0.2234 0.2234 0.0000
0.2613 0.2613 0.5227
0.2613 0.7387 0.0000
0.7387 0.2613 0.0000
0.7387 0.7387 0.4773
0.7766 0.7766 0.0000
```

Top 6 peaks for 10 to 90 degrees two-theta, in order of falling intensity:
| 2θ (°) | intensity |
| --- | --- |
| 27.11 | 100 |
| 27.89 | 46 |
| 48.87 | 39 |
| 39.86 | 37 |
| 55.92 | 25 |
| 37.56 | 22 |

Question: Number 1 is which compound?
Answer: MnPtF6